# 1
Starting from the GGA-PBE geometry in the Materials Project, the PXRD pattern of K2PrCuF6 was calculated for CuKα.
Lines closer than 0.1° are merged.

Peak list (6 most intense, 2θ = 10–80°, sorted by position)
index	2θ/deg	Rel. int.
2 0 0	19.6	52
2 2 0	27.8	100
4 0 0	39.7	49
4 2 0	44.6	25
4 2 2	49.1	40
4 4 0	57.4	30

Atomic structure:
Cell lengths 9.081, 9.081, 9.081 Å; angles 90.00, 90.00, 90.00 degrees
Space group Fm-3m (No. 225)
One atom of each set of equivalent atoms:
1 K 0.250 0.250 0.250 x8
2 Pr 0.000 0.000 0.000 x4
3 Cu 0.000 0.000 0.500 x4
4 F 0.000 0.000 0.252 x24

***

# 2
Starting from the GGA-PBE geometry in the Materials Project, the PXRD pattern of Rb2SiF6 was calculated for CuKα.
Lines closer than 0.1° are merged.

Peak list (6 most intense, 2θ = 10–80°, sorted by position)
index	2θ/deg	Rel. int.
1 1 1	17.8	35
2 0 0	20.6	33
2 2 0	29.3	100
2 2 2	36.1	70
4 0 0	42.0	49
4 2 2	52.0	30

Atomic structure:
Cell lengths 8.612, 8.612, 8.612 Å; angles 90.00, 90.00, 90.00 degrees
Space group Fm-3m (No. 225)
One atom of each set of equivalent atoms:
1 Rb 0.250 0.250 0.250 x8
2 Si 0.000 0.000 0.000 x4
3 F 0.000 0.000 0.200 x24